Structure and theoretical powder XRD pattern of Tl3SnI5 (a structure optimized by DFT (PBE); a wavelength of 1.5418 Å).
Neutral-atom scattering factors, no anomalous dispersion.

Largest 12 diffraction maxima, low angle first, 2θ = 15–90°:
| (hkl) | 2θ (°) | I (rel.) |
| --- | --- | --- |
| 2 2 0 | 26.62 | 31 |
| 2 1 3 | 26.97 | 100 |
| 2 2 1 | 27.17 | 50 |
| 0 3 2 | 29.20 | 40 |
| 1 3 1 | 29.35 | 48 |
| 1 2 4 | 29.88 | 43 |
| 1 1 5 | 30.19 | 85 |
| 3 1 1 | 31.28 | 29 |
| 3 0 2 | 31.39 | 38 |
| 1 4 2 | 39.34 | 23 |
| 3 2 4 | 41.22 | 27 |
| 4 1 3 | 43.99 | 23 |

Structure:
a = 9.111 Å, b = 9.877 Å, c = 16.501 Å
α = 90.00°, β = 90.00°, γ = 90.00°
Space group P2_12_12_1 (No. 19)
Symmetry-distinct sites (fractional):
Tl  0.061  0.088  0.213 x4
Tl  0.085  0.169  0.525 x4
Tl  0.225  0.707  0.447 x4
Sn  0.077  0.559  0.702 x4
I  0.076  0.996  0.977 x4
I  0.086  0.848  0.634 x4
I  0.102  0.448  0.110 x4
I  0.225  0.204  0.726 x4
I  0.238  0.349  0.350 x4